Entry 1:
For Zr2TaNbGe2, the GGA-PBE geometry in OQMD gives the calculated X-ray powder pattern in this record (copper Kα).
No peak broadening, texture or thermal motion is included.

Crystal structure
Lattice parameters (Å, degrees): 3.877 3.884 14.956 90.00 90.00 90.00
Space group Immm (No. 71)
One atom of each set of equivalent atoms:
1 Zr 0.000 0.000 0.177 x4
2 Ta 0.000 0.500 0.000 x2
3 Nb 0.000 0.500 0.500 x2
4 Ge 0.000 0.000 0.365 x4

Main lines, sorted by position (2θ = 5–70°):
index, Position (°2θ), I_rel
0 0 2, 11.83, 39
1 1 2, 34.83, 100
0 0 6, 36.03, 35
1 1 4, 40.79, 87
2 0 0, 46.82, 49
2 0 6, 60.47, 30



Entry 2:
For Tb2Nb3Ge4, the GGA-PBE geometry in OQMD gives the calculated X-ray powder pattern in this record (copper Kα).
No peak broadening, texture or thermal motion is included.

Crystal structure
Lattice parameters (Å, degrees): 7.026 13.597 7.203 90.00 90.00 90.00
Space group Pnma (No. 62)
One atom of each set of equivalent atoms:
1 Tb 0.002 0.095 0.173 x8
2 Nb 0.160 0.627 0.328 x8
3 Nb 0.165 0.250 0.512 x4
4 Ge 0.039 0.250 0.878 x4
5 Ge 0.173 0.042 0.539 x8
6 Ge 0.195 0.750 0.636 x4

Main lines, sorted by position (2θ = 5–70°):
index, Position (°2θ), I_rel
1 3 2, 34.27, 100
2 3 1, 34.62, 96
0 4 2, 36.34, 51
0 6 0, 39.78, 25
1 1 3, 40.24, 31
3 0 1, 40.50, 54